Structure and calculated X-ray diffraction stick pattern of Ba2V2CuF12 (a cell relaxed with GGA+U; a wavelength of 1.5418 Å).
No peak broadening, texture or thermal motion is included.

Structural model:
Cell: 5.447 7.038 7.560 Å, 65.52 70.53 72.83°
Fractional coordinates of all 17 atoms:
1 Ba 0.000 0.000 0.000
2 Ba 0.418 0.594 0.526
3 V 0.200 0.300 0.268
4 V 0.747 0.575 0.930
5 Cu 0.645 0.021 0.597
6 F 0.088 0.408 0.004
7 F 0.182 0.585 0.256
8 F 0.236 0.020 0.268
9 F 0.306 0.190 0.528
10 F 0.428 0.725 0.834
11 F 0.529 0.136 0.805
12 F 0.580 0.314 0.114
13 F 0.683 0.708 0.123
14 F 0.726 0.887 0.407
15 F 0.834 0.308 0.411
16 F 0.876 0.442 0.731
17 F 0.939 0.819 0.727

Peak list (10 most intense, 2θ = 5–70°, by angle)
24.5 deg, intensity 100.0
25.3 deg, intensity 58.5
26.7 deg, intensity 38.7
27.0 deg, intensity 29.8
28.3 deg, intensity 54.4
33.0 deg, intensity 34.1
37.9 deg, intensity 24.3
39.0 deg, intensity 40.3
40.6 deg, intensity 29.6
41.9 deg, intensity 26.6